Record 1
Simulated X-ray diffraction stick pattern
Compound: AlZn2SbH12O12
Radiation: Cu Ka
Structure: a DFT-relaxed cell (GGA-PBE, Alexandria)
Neutral-atom scattering factors, no anomalous dispersion.

Top 6 peaks for 5 to 70 degrees two-theta, by angle:
hkl 0 0 2, 18.0 deg, I 938; hkl 1 0 0, 18.8 deg, I 261; hkl 0 1 1, 20.9 deg, I 1000; hkl 0 1 3, 33.2 deg, I 306; hkl 1 1 2, 37.7 deg, I 653; hkl 1 1 4, 49.8 deg, I 451

Crystal structure
Unit cell a=5.4511 b=5.4511 c=9.8776 alpha=90.00 beta=90.00 gamma=120.00
Space group P-3 (No. 147)
Asymmetric unit:
Al: 0.0000 0.0000 0.0000 x1
Zn: 0.3333 0.6667 0.0104 x2
Sb: 0.0000 0.0000 0.5000 x1
H: 0.0339 0.3115 0.7999 x6
H: 0.1207 0.6589 0.6125 x6
O: 0.0051 0.3056 0.8988 x6
O: 0.1313 0.3404 0.6196 x6

Record 2
Simulated X-ray diffraction stick pattern
Compound: AlH5Se2O8
Radiation: Cu Ka
Structure: a DFT-relaxed cell (GGA-PBE, Alexandria)
Neutral-atom scattering factors, no anomalous dispersion.

Top 6 peaks for 5 to 70 degrees two-theta, by angle:
hkl 0 1 1, 18.1 deg, I 313; hkl 1 1 0, 19.8 deg, I 1000; hkl 1 0 -2, 19.9 deg, I 378; hkl 0 2 0, 26.5 deg, I 320; hkl 0 1 2, 28.2 deg, I 567; hkl 2 1 -2, 28.3 deg, I 507

Crystal structure
Unit cell a=7.456 b=6.732 c=8.909 alpha=90.00 beta=126.41 gamma=90.00
Space group P2_1/c (No. 14)
Asymmetric unit:
Al: 0.000 0.000 0.000 x2
H: 0.316 0.246 0.587 x4
H: 0.322 0.212 0.269 x4
H: 0.500 0.000 0.500 x2
Se: 0.250 0.704 0.345 x4
O: 0.079 0.594 0.730 x4
O: 0.217 0.669 0.518 x4
O: 0.224 0.214 0.130 x4
O: 0.485 0.178 0.516 x4

Q: Which formula does entry 2 have?
A: AlH5Se2O8

Q: Which formula does entry 2 have?
A: AlH5Se2O8